No. 1
Computed X-ray diffraction stick pattern
Compound: Bi3TeRh4
Radiation: Cu Kα, 1.54184 Å
Structure: DFT lattice parameters and positions (GGA-PBE)
Neutral-atom scattering factors, no anomalous dispersion.

Top 10 peaks for 10 to 90 degrees two-theta, sorted by position:
Position (°2θ), I_rel, index
27.80, 1000, 1 2 1
32.01, 707, 0 2 2
32.16, 323, 2 0 0
36.05, 216, 2 1 1
37.39, 177, 2 2 0
37.62, 437, 0 4 0
42.61, 230, 1 0 3
45.21, 240, 2 3 1
46.03, 393, 2 2 2
48.90, 189, 0 3 3

Structure:
```
data_Bi3TeRh4
_cell_length_a 5.566
_cell_length_b 9.563
_cell_length_c 6.885
_cell_angle_alpha 90.00
_cell_angle_beta 90.00
_cell_angle_gamma 90.00
_space_group_name_H-M_alt 'I m m 2'
_space_group_IT_number 44
_space_group_name_Hall 'I 2 -2'
loop_
_atom_site_label
_atom_site_type_symbol
_atom_site_fract_x
_atom_site_fract_y
_atom_site_fract_z
Bi1 Bi 0.000 0.000 0.000
Bi2 Bi 0.000 0.278 0.314
Te1 Te 0.000 0.500 0.837
Rh1 Rh 0.000 0.246 0.704
Rh2 Rh 0.235 0.000 0.648
```

No. 2
Computed X-ray diffraction stick pattern
Compound: Bi2Te2Rh3
Radiation: Cu Kα, 1.54184 Å
Structure: DFT lattice parameters and positions (GGA-PBE)
Neutral-atom scattering factors, no anomalous dispersion.

Top 10 peaks for 10 to 90 degrees two-theta, sorted by position:
Position (°2θ), I_rel, index
13.52, 287, 1 0 0
29.43, 1000, 0 1 2
29.98, 961, 1 2 -1
30.10, 814, 2 1 0
40.48, 544, 1 1 -3
41.15, 361, 2 2 -2
41.49, 483, 3 1 -1
44.02, 449, 2 0 2
44.47, 824, 1 3 1
56.14, 225, 4 1 -2

Structure:
```
data_Bi2Te2Rh3
_cell_length_a 6.868
_cell_length_b 7.034
_cell_length_c 7.055
_cell_angle_alpha 90.00
_cell_angle_beta 107.53
_cell_angle_gamma 90.00
_space_group_name_H-M_alt 'P 1 21/c 1'
_space_group_IT_number 14
_space_group_name_Hall '-P 2ybc'
loop_
_atom_site_label
_atom_site_type_symbol
_atom_site_fract_x
_atom_site_fract_y
_atom_site_fract_z
Bi1 Bi 0.134 0.157 0.382
Te1 Te 0.366 0.658 0.618
Rh1 Rh 0.000 0.000 0.000
Rh2 Rh 0.271 0.519 0.249
```

No. 3
Computed X-ray diffraction stick pattern
Compound: Tm5BiRh2
Radiation: Cu Kα, 1.54184 Å
Structure: DFT lattice parameters and positions (GGA-PBE)
Neutral-atom scattering factors, no anomalous dispersion.

Top 10 peaks for 10 to 90 degrees two-theta, sorted by position:
Position (°2θ), I_rel, index
26.70, 184, 2 1 1
31.18, 427, 1 1 4
32.74, 1000, 2 1 3
35.36, 409, 2 0 4
36.89, 820, 3 1 0
42.54, 274, 2 1 5
53.12, 241, 4 2 0
57.64, 217, 3 3 4
67.53, 267, 3 1 8
68.88, 245, 4 4 0

Structure:
```
data_Tm5BiRh2
_cell_length_a 7.705
_cell_length_b 7.705
_cell_length_c 13.497
_cell_angle_alpha 90.00
_cell_angle_beta 90.00
_cell_angle_gamma 90.00
_space_group_name_H-M_alt 'I 4/m c m'
_space_group_IT_number 140
_space_group_name_Hall '-I 4 2c'
loop_
_atom_site_label
_atom_site_type_symbol
_atom_site_fract_x
_atom_site_fract_y
_atom_site_fract_z
Tm1 Tm 0.000 0.000 0.000
Tm2 Tm 0.155 0.345 0.132
Bi1 Bi 0.000 0.000 0.250
Rh1 Rh 0.141 0.359 0.500
```

No. 4
Computed X-ray diffraction stick pattern
Compound: Tm8Bi2Rh3
Radiation: Cu Kα, 1.54184 Å
Structure: DFT lattice parameters and positions (GGA-PBE)
Neutral-atom scattering factors, no anomalous dispersion.

Top 10 peaks for 10 to 90 degrees two-theta, sorted by position:
Position (°2θ), I_rel, index
21.79, 114, 2 0 0
21.91, 112, 1 1 -1
26.16, 102, 1 1 1
35.41, 1000, 3 1 -1
37.18, 236, 2 0 2
37.48, 231, 0 2 0
44.62, 83, 4 1 -2
53.82, 164, 2 2 2
65.89, 157, 5 1 1
66.28, 155, 3 3 -1

Structure:
```
data_Tm8Bi2Rh3
_cell_length_a 8.999
_cell_length_b 4.800
_cell_length_c 9.002
_cell_angle_alpha 90.00
_cell_angle_beta 114.99
_cell_angle_gamma 90.00
_space_group_name_H-M_alt 'P 1 2/m 1'
_space_group_IT_number 10
_space_group_name_Hall '-P 2y'
loop_
_atom_site_label
_atom_site_type_symbol
_atom_site_fract_x
_atom_site_fract_y
_atom_site_fract_z
Tm1 Tm 0.106 0.000 0.394
Tm2 Tm 0.145 0.500 0.861
Tm3 Tm 0.361 0.500 0.646
Tm4 Tm 0.390 0.000 0.110
Bi1 Bi 0.245 0.500 0.256
Rh1 Rh 0.252 0.000 0.753
Rh2 Rh 0.500 0.500 0.000
```

No. 5
Computed X-ray diffraction stick pattern
Compound: TmBi5Rh3
Radiation: Cu Kα, 1.54184 Å
Structure: DFT lattice parameters and positions (GGA-PBE)
Neutral-atom scattering factors, no anomalous dispersion.

Top 10 peaks for 10 to 90 degrees two-theta, sorted by position:
Position (°2θ), I_rel, index
28.38, 235, 2 2 -2
29.27, 1000, 2 2 1
29.50, 305, 0 0 3
31.71, 214, 1 3 -1
31.92, 193, 3 1 -3
38.51, 329, 5 1 -2
40.40, 149, 0 4 0
43.30, 232, 4 0 2
48.47, 228, 5 3 -2
48.70, 215, 1 3 -4

Structure:
```
data_TmBi5Rh3
_cell_length_a 12.225
_cell_length_b 8.931
_cell_length_c 9.766
_cell_angle_alpha 90.00
_cell_angle_beta 111.54
_cell_angle_gamma 90.00
_space_group_name_H-M_alt 'C 1 2/m 1'
_space_group_IT_number 12
_space_group_name_Hall '-C 2y'
loop_
_atom_site_label
_atom_site_type_symbol
_atom_site_fract_x
_atom_site_fract_y
_atom_site_fract_z
Tm1 Tm 0.100 0.000 0.296
Bi1 Bi 0.000 0.299 0.000
Bi2 Bi 0.066 0.500 0.366
Bi3 Bi 0.176 0.200 0.642
Bi4 Bi 0.231 0.000 0.033
Rh1 Rh 0.000 0.000 0.000
Rh2 Rh 0.000 0.000 0.500
Rh3 Rh 0.166 0.500 0.163
Rh4 Rh 0.172 0.500 0.672
```

No. 6
Computed X-ray diffraction stick pattern
Compound: U3Bi4Rh3
Radiation: Cu Kα, 1.54184 Å
Structure: DFT lattice parameters and positions (GGA-PBE)
Neutral-atom scattering factors, no anomalous dispersion.

Top 10 peaks for 10 to 90 degrees two-theta, sorted by position:
Position (°2θ), I_rel, index
28.81, 395, 3 1 0
34.24, 1000, 3 2 1
41.20, 282, 4 2 0
45.34, 162, 4 2 2
51.06, 123, 5 2 1
58.03, 139, 6 1 1
59.69, 101, 6 2 0
61.32, 85, 5 4 1
64.50, 108, 6 3 1
66.07, 87, 4 4 4

Structure:
```
data_U3Bi4Rh3
_cell_length_a 9.798
_cell_length_b 9.798
_cell_length_c 9.798
_cell_angle_alpha 90.00
_cell_angle_beta 90.00
_cell_angle_gamma 90.00
_space_group_name_H-M_alt 'I -4 3 d'
_space_group_IT_number 220
_space_group_name_Hall 'I -4bd 2c 3'
loop_
_atom_site_label
_atom_site_type_symbol
_atom_site_fract_x
_atom_site_fract_y
_atom_site_fract_z
U1 U 0.000 0.250 0.375
Bi1 Bi 0.090 0.090 0.090
Rh1 Rh 0.000 0.250 0.875
```

No. 7
Computed X-ray diffraction stick pattern
Compound: Y12BiRh6
Radiation: Cu Kα, 1.54184 Å
Structure: DFT lattice parameters and positions (GGA-PBE)
Neutral-atom scattering factors, no anomalous dispersion.

Top 10 peaks for 10 to 90 degrees two-theta, sorted by position:
Position (°2θ), I_rel, index
17.80, 206, 2 0 0
31.08, 262, 2 2 2
33.64, 1000, 3 2 1
36.04, 165, 4 0 0
38.31, 131, 4 1 1
46.45, 344, 4 1 3
55.30, 129, 6 0 0
56.95, 238, 5 3 2
66.31, 168, 5 4 3
83.41, 146, 7 5 0

Structure:
```
data_Y12BiRh6
_cell_length_a 9.968
_cell_length_b 9.968
_cell_length_c 9.968
_cell_angle_alpha 90.00
_cell_angle_beta 90.00
_cell_angle_gamma 90.00
_space_group_name_H-M_alt 'I m -3'
_space_group_IT_number 204
_space_group_name_Hall '-I 2 2 3'
loop_
_atom_site_label
_atom_site_type_symbol
_atom_site_fract_x
_atom_site_fract_y
_atom_site_fract_z
Y1 Y 0.000 0.192 0.303
Bi1 Bi 0.000 0.000 0.000
Rh1 Rh 0.000 0.371 0.500
```

No. 8
Computed X-ray diffraction stick pattern
Compound: BiRu
Radiation: Cu Kα, 1.54184 Å
Structure: DFT lattice parameters and positions (GGA-PBE)
Neutral-atom scattering factors, no anomalous dispersion.

Top 10 peaks for 10 to 90 degrees two-theta, sorted by position:
Position (°2θ), I_rel, index
28.46, 286, 1 0 1
32.49, 413, 0 0 2
33.93, 294, 1 0 -2
34.26, 1000, 1 1 0
35.91, 283, 1 1 -1
39.65, 317, 2 0 -1
40.16, 242, 2 0 0
43.20, 291, 0 1 2
44.34, 290, 1 1 -2
57.17, 207, 0 2 0

Structure:
```
data_BiRu
_cell_length_a 4.616
_cell_length_b 3.222
_cell_length_c 5.671
_cell_angle_alpha 90.00
_cell_angle_beta 103.62
_cell_angle_gamma 90.00
_space_group_name_H-M_alt 'P 1 21/m 1'
_space_group_IT_number 11
_space_group_name_Hall '-P 2yb'
loop_
_atom_site_label
_atom_site_type_symbol
_atom_site_fract_x
_atom_site_fract_y
_atom_site_fract_z
Bi1 Bi 0.185 0.250 0.298
Ru1 Ru 0.355 0.250 0.826
```

No. 9
Computed X-ray diffraction stick pattern
Compound: BiRu
Radiation: Cu Kα, 1.54184 Å
Structure: DFT lattice parameters and positions (GGA-PBE)
Neutral-atom scattering factors, no anomalous dispersion.

Top 10 peaks for 10 to 90 degrees two-theta, sorted by position:
Position (°2θ), I_rel, index
19.98, 455, 0 0 2
29.83, 749, 1 0 1
34.68, 1000, 1 0 2
40.09, 818, 1 1 0
41.66, 930, 1 0 3
45.18, 238, 1 1 2
57.98, 280, 2 0 0
67.11, 343, 1 1 5
69.36, 268, 2 1 2
73.90, 348, 2 1 3

Structure:
```
data_BiRu
_cell_length_a 3.181
_cell_length_b 3.181
_cell_length_c 8.888
_cell_angle_alpha 90.00
_cell_angle_beta 90.00
_cell_angle_gamma 90.00
_space_group_name_H-M_alt 'P 4/n m m'
_space_group_IT_number 129
loop_
_space_group_symop_operation_xyz
'x,y,z'
'-x,-y,-z'
'-y+1/2,x,z'
'y+1/2,-x,-z'
'-x+1/2,-y+1/2,z'
'x+1/2,y+1/2,-z'
'y,-x+1/2,z'
'-y,x+1/2,-z'
'x+1/2,-y,-z'
'-x+1/2,y,z'
'-y,-x,-z'
'y,x,z'
'-x,y+1/2,-z'
'x,-y+1/2,z'
'y+1/2,x+1/2,-z'
'-y+1/2,-x+1/2,z'
loop_
_atom_site_label
_atom_site_type_symbol
_atom_site_fract_x
_atom_site_fract_y
_atom_site_fract_z
Bi1 Bi 0.250 0.250 0.208
Ru1 Ru 0.250 0.250 0.593
```

No. 10
Computed X-ray diffraction stick pattern
Compound: BiRu
Radiation: Cu Kα, 1.54184 Å
Structure: DFT lattice parameters and positions (GGA-PBE)
Neutral-atom scattering factors, no anomalous dispersion.

Top 10 peaks for 10 to 90 degrees two-theta, sorted by position:
Position (°2θ), I_rel, index
13.95, 149, 0 0 1
24.82, 151, 2 0 -1
25.05, 254, 1 1 0
30.98, 1000, 1 1 1
33.85, 236, 2 0 1
34.25, 472, 1 1 -2
41.48, 339, 2 0 -3
42.99, 510, 3 1 -1
43.51, 247, 0 2 0
54.34, 159, 2 2 -2

Structure:
```
data_BiRu
_cell_length_a 7.317
_cell_length_b 4.160
_cell_length_c 6.785
_cell_angle_alpha 90.00
_cell_angle_beta 110.65
_cell_angle_gamma 90.00
_space_group_name_H-M_alt 'C 1 2/m 1'
_space_group_IT_number 12
_space_group_name_Hall '-C 2y'
loop_
_atom_site_label
_atom_site_type_symbol
_atom_site_fract_x
_atom_site_fract_y
_atom_site_fract_z
Bi1 Bi 0.097 0.000 0.285
Ru1 Ru 0.152 0.500 0.962
```

No. 11
Computed X-ray diffraction stick pattern
Compound: BiRu4
Radiation: Cu Kα, 1.54184 Å
Structure: DFT lattice parameters and positions (GGA-PBE)
Neutral-atom scattering factors, no anomalous dispersion.

Top 10 peaks for 10 to 90 degrees two-theta, sorted by position:
Position (°2θ), I_rel, index
18.06, 624, 1 0 0
25.64, 551, 1 1 0
31.54, 224, 1 1 1
36.58, 1000, 2 0 0
41.08, 327, 2 1 0
45.21, 251, 2 1 1
52.70, 698, 2 2 0
56.17, 167, 3 0 0
65.85, 237, 2 2 2
89.14, 326, 4 2 0

Structure:
```
data_BiRu4
_cell_length_a 4.913
_cell_length_b 4.913
_cell_length_c 4.913
_cell_angle_alpha 90.00
_cell_angle_beta 90.00
_cell_angle_gamma 90.00
_space_group_name_H-M_alt 'P m -3 m'
_space_group_IT_number 221
_space_group_name_Hall '-P 4 2 3'
loop_
_atom_site_label
_atom_site_type_symbol
_atom_site_fract_x
_atom_site_fract_y
_atom_site_fract_z
Bi1 Bi 0.000 0.000 0.000
Ru1 Ru 0.000 0.000 0.500
Ru2 Ru 0.500 0.500 0.500
```

No. 12
Computed X-ray diffraction stick pattern
Compound: BiRu
Radiation: Cu Kα, 1.54184 Å
Structure: DFT lattice parameters and positions (GGA-PBE)
Neutral-atom scattering factors, no anomalous dispersion.

Top 10 peaks for 10 to 90 degrees two-theta, sorted by position:
Position (°2θ), I_rel, index
24.17, 409, 1 0 1
28.36, 570, 3 1 0
30.19, 200, 2 1 1
35.28, 258, 3 0 1
39.80, 1000, 2 3 1
40.54, 141, 2 4 0
45.78, 178, 0 0 2
46.53, 155, 5 1 0
54.76, 275, 3 1 2
61.29, 159, 1 6 1

Structure:
```
data_BiRu
_cell_length_a 9.952
_cell_length_b 9.952
_cell_length_c 3.964
_cell_angle_alpha 90.00
_cell_angle_beta 90.00
_cell_angle_gamma 90.00
_space_group_name_H-M_alt 'I 4/m'
_space_group_IT_number 87
_space_group_name_Hall '-I 4'
loop_
_atom_site_label
_atom_site_type_symbol
_atom_site_fract_x
_atom_site_fract_y
_atom_site_fract_z
Bi1 Bi 0.115 0.211 0.000
Ru1 Ru 0.088 0.408 0.500
```